TbAgSeS: computed powder diffraction line list (λ = 1.5418 Å (Cu Kα)), based on a GGA-PBE-relaxed structure.

Most intense lines, 10 to 90 degrees two-theta, low angle first:
| Position (°2θ) | intensity |
| --- | --- |
| 24.9 | 916 |
| 26.7 | 830 |
| 28.6 | 570 |
| 34.2 | 843 |
| 36.3 | 1000 |
| 37.1 | 630 |
| 37.3 | 551 |
| 39.1 | 628 |
| 46.1 | 701 |
| 47.3 | 479 |

Cell and atoms:
```
data_TbAgSeS
_chemical_formula_sum 'Tb2 Ag2 Se2 S2'
_symmetry_space_group_name_H-M 'P 1'
_symmetry_Int_Tables_number 1
_cell_length_a 6.690
_cell_length_b 6.690
_cell_length_c 4.233
_cell_angle_alpha 90.00
_cell_angle_beta 90.00
_cell_angle_gamma 92.94
loop_
_symmetry_equiv_pos_as_xyz
'x,y,z'
loop_
_atom_site_label
_atom_site_type_symbol
_atom_site_fract_x
_atom_site_fract_y
_atom_site_fract_z
Tb1 Tb 0.000 0.000 0.000
Tb2 Tb 0.500 0.500 0.430
Ag1 Ag 0.000 0.500 0.175
Ag2 Ag 0.500 0.000 0.175
Se1 Se 0.203 0.797 0.493
Se2 Se 0.797 0.203 0.493
S1 S 0.301 0.301 0.943
S2 S 0.699 0.699 0.943
```